Calculated X-ray diffraction stick pattern of PmZnCrO4 for copper Kα, from DFT lattice parameters and positions (GGA+U).
Neutral-atom scattering factors, no anomalous dispersion.

Principal peaks in the range 2θ = 15–90°, in order of rising 2θ:
| two_theta | d [Å] | I/Imax |
| --- | --- | --- |
| 17.3 | 5.126 | 44.1 |
| 19.8 | 4.477 | 21.8 |
| 28.6 | 3.126 | 22.0 |
| 31.7 | 2.821 | 100.0 |
| 33.2 | 2.701 | 37.4 |
| 33.3 | 2.693 | 38.2 |
| 35.0 | 2.563 | 21.4 |
| 39.3 | 2.294 | 25.0 |
| 52.6 | 1.740 | 24.2 |
| 57.5 | 1.602 | 47.3 |

Atomic structure:
```
PmZnCrO4
1.0
-3.1257 3.3784 4.4766
3.1257 -3.3784 4.4766
3.1257 3.3784 -4.4766
Pm Zn Cr O
2 2 2 8
direct
0.0000 0.0000 0.0000 Pm
0.5000 0.0000 0.5000 Pm
0.3590 0.6090 0.7500 Zn
0.6410 0.3910 0.2500 Zn
0.0000 0.0000 0.5000 Cr
0.0000 0.5000 0.0000 Cr
0.2014 0.7410 0.4603 O
0.2193 0.2590 0.9603 O
0.2297 0.2275 0.4978 O
0.2297 0.7319 0.0022 O
0.7703 0.2681 0.9978 O
0.7703 0.7725 0.5022 O
0.7807 0.7410 0.0397 O
0.7986 0.2590 0.5397 O
```